This entry pairs a crystal structure of SnBO3 with its calculated powder diffractogram. Radiation: Cu Ka. Structure: a crystal structure in the Materials Project, relaxed with GGA-PBE.
Intensities are scaled so that the largest is 100.

Structure:
abc: 5.3718 8.9080 12.4929
angles: 90.00 102.13 90.00
Space group Cc (No. 9)
Symmetry-distinct sites (fractional):
Sn  0.0000  0.1221  0.0000
Sn  0.0898  0.3207  0.7442
B  0.0798  0.3401  0.2459
B  0.4397  0.2950  0.9964
O  0.1310  0.1059  0.5020
O  0.2199  0.2879  0.9126
O  0.3439  0.3414  0.2680
O  0.4180  0.1866  0.0768
O  0.4467  0.2931  0.7196
O  0.4517  0.0277  0.7529

Most intense lines, 5 to 70 degrees two-theta, by intensity:
22.20 deg, d = 4.004 Å, I = 100, (1 1 -2); 29.25 deg, d = 3.053 Å, I = 53, (0 0 4); 21.23 deg, d = 4.184 Å, I = 46, (0 2 1); 39.19 deg, d = 2.299 Å, I = 42, (2 2 -1); 19.65 deg, d = 4.518 Å, I = 33, (1 1 -1); 26.56 deg, d = 3.356 Å, I = 32, (1 1 2); 36.31 deg, d = 2.474 Å, I = 28, (1 3 -2); 34.16 deg, d = 2.625 Å, I = 22, (2 0 0); 19.93 deg, d = 4.454 Å, I = 19, (0 2 0); 26.67 deg, d = 3.342 Å, I = 19, (1 1 -3)